This entry pairs a crystal structure of Li3Mg with its computed powder diffractogram. Radiation: Cu Kα (λ = 1.5418 Å). Structure: a cell relaxed with PBE.

Atomic structure:
Cell lengths 4.2392, 4.2392, 8.9925 Å; angles 90.00, 90.00, 90.00 degrees
Space group I4/mmm (No. 139)
Symmetry-distinct sites (fractional):
Li1 0.0000 0.0000 0.0000 (multiplicity 2)
Li2 0.0000 0.5000 0.2500 (multiplicity 4)
Mg1 0.0000 0.0000 0.5000 (multiplicity 2)

Principal peaks in the range 2θ from 10° to 90°, sorted by position:
| (hkl) | 2θ/deg | Rel. int. |
| --- | --- | --- |
| 0 0 2 | 19.7 | 30 |
| 1 0 1 | 23.2 | 81 |
| 1 1 2 | 36.0 | 100 |
| 1 0 3 | 36.7 | 24 |
| 2 0 0 | 42.7 | 31 |
| 3 1 2 | 73.8 | 22 |